# Sr3Pr3Mn2Cu2O13
Calculated XRD peak list, Cu Ka. Input: the PBE+U geometry in Alexandria.
Kinematic intensities with the Lorentz-polarization factor, no thermal factor.

Structure:
Unit cell a=5.476 b=5.474 c=20.382 alpha=90.00 beta=90.00 gamma=90.00
Space group Amm2 (No. 38)
Unique sites:
Sr (0.000, 0.000, 0.000)
Sr (0.000, 0.000, 0.180)
Sr (0.500, 0.000, 0.681)
Pr (0.000, 0.000, 0.363)
Pr (0.500, 0.000, 0.504)
Pr (0.500, 0.000, 0.862)
Mn (0.000, 0.000, 0.588)
Mn (0.000, 0.000, 0.777)
Cu (0.500, 0.000, 0.084)
Cu (0.500, 0.000, 0.279)
O (0.000, 0.000, 0.481)
O (0.000, 0.000, 0.684)
O (0.000, 0.000, 0.877)
O (0.249, 0.247, 0.280)
O (0.256, 0.248, 0.588)
O (0.500, 0.000, 0.391)
O (0.500, 0.000, 0.973)

The 8 most intense peaks (2θ from 5° to 70°), in order of falling intensity:
two_theta, I/Imax
31.88, 100.0
32.71, 64.4
46.94, 37.6
57.86, 36.6
42.41, 23.4
26.50, 14.0
68.56, 11.1
66.63, 10.6